# 1
Y3HoFe4Ge8O28: theoretical powder XRD pattern (Cu Kα X-rays), based on a structure optimized by DFT (GGA+U).
Neutral-atom scattering factors, no anomalous dispersion.

Crystal structure
a b c (Å): 6.7555 8.6519 9.8204
angles (deg): 90.00 79.45 90.00
Space group P1 (No. 1)
Unique sites:
Y 0.0000 0.0000 0.0000 [1 per cell]
Y 0.0000 0.4173 0.9999 [1 per cell]
Y 0.5105 0.9174 0.5056 [1 per cell]
Ho 0.5103 0.5012 0.5055 [1 per cell]
Fe 0.0110 0.0144 0.5008 [1 per cell]
Fe 0.0109 0.4030 0.5008 [1 per cell]
Fe 0.4994 0.5142 0.0047 [1 per cell]
Fe 0.4994 0.9027 0.0047 [1 per cell]
Ge 0.2094 0.7083 0.2860 [1 per cell]
Ge 0.2368 0.2089 0.6997 [1 per cell]
Ge 0.2745 0.7083 0.8053 [1 per cell]
Ge 0.3011 0.2085 0.2196 [1 per cell]
Ge 0.7095 0.2085 0.7827 [1 per cell]
Ge 0.7342 0.7082 0.2029 [1 per cell]
Ge 0.7757 0.2090 0.3031 [1 per cell]
Ge 0.8009 0.7083 0.7225 [1 per cell]
O 0.0037 0.7080 0.1941 [1 per cell]
O 0.1078 0.2090 0.3719 [1 per cell]
O 0.1089 0.2087 0.8711 [1 per cell]
O 0.2179 0.8739 0.3918 [1 per cell]
O 0.2191 0.5431 0.3921 [1 per cell]
O 0.2283 0.0309 0.6127 [1 per cell]
O 0.2304 0.3863 0.6117 [1 per cell]
O 0.2824 0.5307 0.8925 [1 per cell]
O 0.2821 0.8860 0.8923 [1 per cell]
O 0.2923 0.0431 0.1137 [1 per cell]
O 0.2925 0.3740 0.1139 [1 per cell]
O 0.4016 0.7085 0.1334 [1 per cell]
O 0.4028 0.7075 0.6336 [1 per cell]
O 0.5061 0.2075 0.3121 [1 per cell]
O 0.5121 0.2075 0.6832 [1 per cell]
O 0.5956 0.7086 0.8678 [1 per cell]
O 0.5978 0.7075 0.3724 [1 per cell]
O 0.7105 0.0441 0.8917 [1 per cell]
O 0.7102 0.3730 0.8916 [1 per cell]
O 0.7206 0.5324 0.1136 [1 per cell]
O 0.7207 0.8843 0.1138 [1 per cell]
O 0.7875 0.3848 0.3930 [1 per cell]
O 0.7897 0.0326 0.3921 [1 per cell]
O 0.7984 0.5441 0.6133 [1 per cell]
O 0.8003 0.8731 0.6137 [1 per cell]
O 0.9119 0.2088 0.1340 [1 per cell]
O 0.9155 0.2091 0.6377 [1 per cell]
O 0.9991 0.7079 0.8215 [1 per cell]

Top 6 peaks for 5 to 70 degrees two-theta, by intensity:
(hkl), d [Å], 2theta, Rel. int.
0 2 -2, 3.222, 27.69, 100
2 0 2, 3.005, 29.73, 44
-1 1 2, 3.327, 26.80, 31
2 -2 0, 2.634, 34.04, 31
2 -2 4, 1.924, 47.24, 18
-1 3 4, 1.722, 53.20, 17

# 2
NaMnF4: theoretical powder XRD pattern (Cu Kα X-rays), based on a structure optimized by DFT (GGA+U).
Neutral-atom scattering factors, no anomalous dispersion.

Crystal structure
a b c (Å): 5.8535 5.0174 5.9084
angles (deg): 90.00 108.67 90.00
Space group P2_1/c (No. 14)
Unique sites:
Na 0.0000 0.0000 0.0000 [2 per cell]
Mn 0.5000 0.0000 0.5000 [2 per cell]
F 0.1925 0.1491 0.3864 [4 per cell]
F 0.3808 0.7346 0.6658 [4 per cell]

Top 6 peaks for 5 to 70 degrees two-theta, by intensity:
(hkl), d [Å], 2theta, Rel. int.
1 1 -1, 3.460, 25.75, 100
1 0 0, 5.545, 15.98, 45
0 1 1, 3.736, 23.82, 35
1 1 1, 2.831, 31.61, 22
2 2 -2, 1.730, 52.93, 22
1 1 -3, 1.833, 49.74, 20